# 1
Computed powder diffraction line list
Compound: Tb6Pm2Tm3
Radiation: Cu Kα, 1.54184 Å
Structure: DFT lattice parameters and positions (PBE)
Lines closer than 0.1° are merged.

Crystal structure
Cell lengths 6.1116, 6.1116, 11.6532 Å; angles 95.06, 95.06, 120.07 degrees
Fractional coordinates of all 11 atoms:
1 Tb 0.0843 0.4178 0.7537
2 Tb 0.2495 0.2495 0.2465
3 Tb 0.4178 0.0843 0.7537
4 Tb 0.5822 0.9157 0.2463
5 Tb 0.7505 0.7505 0.7535
6 Tb 0.9157 0.5822 0.2463
7 Pm 0.3334 0.6666 0.5000
8 Pm 0.6666 0.3334 0.5000
9 Tm 0.1656 0.8344 0.0000
10 Tm 0.5000 0.5000 0.0000
11 Tm 0.8344 0.1656 0.0000

Main lines, in order of rising 2θ (10° ≤ 2θ ≤ 90°):
Position (°2θ), I/Imax
31.07, 100
31.19, 33
36.06, 67
51.84, 24
52.00, 23
61.72, 23
61.84, 19
64.77, 12

# 2
Computed powder diffraction line list
Compound: MgAl2Ga3
Radiation: Cu Kα, 1.54184 Å
Structure: DFT lattice parameters and positions (PBE)
Lines closer than 0.1° are merged.

Crystal structure
Cell lengths 6.8969, 6.8969, 5.3495 Å; angles 90.00, 90.00, 79.89 degrees
Fractional coordinates of all 12 atoms:
1 Mg 0.2198 0.7802 0.7500
2 Mg 0.7802 0.2198 0.2500
3 Al 0.3574 0.3574 0.0000
4 Al 0.3574 0.3574 0.5000
5 Al 0.6426 0.6426 0.0000
6 Al 0.6426 0.6426 0.5000
7 Ga 0.0805 0.2010 0.7500
8 Ga 0.2010 0.0805 0.2500
9 Ga 0.3031 0.6969 0.2500
10 Ga 0.6969 0.3031 0.7500
11 Ga 0.7990 0.9195 0.7500
12 Ga 0.9195 0.7990 0.2500

Main lines, in order of rising 2θ (10° ≤ 2θ ≤ 90°):
Position (°2θ), I/Imax
21.14, 100
26.25, 64
33.50, 47
39.71, 84
43.30, 55
43.41, 46
43.69, 86
44.27, 66

# 3
Computed powder diffraction line list
Compound: La5YHg4
Radiation: Cu Kα, 1.54184 Å
Structure: DFT lattice parameters and positions (PBE)
Lines closer than 0.1° are merged.

Crystal structure
Cell lengths 3.8897, 3.8897, 20.5115 Å; angles 90.00, 90.00, 90.00 degrees
Fractional coordinates of all 10 atoms:
1 La 0.0000 0.0000 0.0000
2 La 0.0000 0.0000 0.1914
3 La 0.0000 0.0000 0.3822
4 La 0.0000 0.0000 0.6178
5 La 0.0000 0.0000 0.8086
6 Y 0.5000 0.5000 0.5000
7 Hg 0.5000 0.5000 0.0952
8 Hg 0.5000 0.5000 0.2904
9 Hg 0.5000 0.5000 0.7096
10 Hg 0.5000 0.5000 0.9048

Main lines, in order of rising 2θ (10° ≤ 2θ ≤ 90°):
Position (°2θ), I/Imax
31.70, 100
32.56, 51
34.94, 9
46.71, 19
55.92, 15
57.55, 37
66.22, 9
77.62, 9

# 4
Computed powder diffraction line list
Compound: Tl3Te2Au2
Radiation: Cu Kα, 1.54184 Å
Structure: DFT lattice parameters and positions (PBE)
Lines closer than 0.1° are merged.

Crystal structure
Cell lengths 5.9498, 10.4539, 13.7503 Å; angles 90.00, 90.00, 90.00 degrees
Fractional coordinates of all 28 atoms:
1 Tl 0.1288 0.1159 0.1055
2 Tl 0.1288 0.1159 0.3945
3 Tl 0.1288 0.3841 0.6055
4 Tl 0.1288 0.3841 0.8945
5 Tl 0.3423 0.7433 0.2500
6 Tl 0.3423 0.7567 0.7500
7 Tl 0.6577 0.2433 0.2500
8 Tl 0.6577 0.2567 0.7500
9 Tl 0.8712 0.6159 0.1055
10 Tl 0.8712 0.6159 0.3945
11 Tl 0.8712 0.8841 0.6055
12 Tl 0.8712 0.8841 0.8945
13 Te 0.1706 0.0971 0.7500
14 Te 0.1706 0.4029 0.2500
15 Te 0.3403 0.7500 0.0000
16 Te 0.3403 0.7500 0.5000
17 Te 0.6597 0.2500 0.0000
18 Te 0.6597 0.2500 0.5000
19 Te 0.8294 0.5971 0.7500
20 Te 0.8294 0.9029 0.2500
21 Au 0.3892 0.0255 0.5841
22 Au 0.3892 0.0255 0.9159
23 Au 0.3892 0.4745 0.0841
24 Au 0.3892 0.4745 0.4159
25 Au 0.6108 0.5255 0.5841
26 Au 0.6108 0.5255 0.9159
27 Au 0.6108 0.9745 0.0841
28 Au 0.6108 0.9745 0.4159

Main lines, in order of rising 2θ (10° ≤ 2θ ≤ 90°):
Position (°2θ), I/Imax
29.71, 88
29.97, 63
31.14, 39
31.25, 91
35.71, 37
37.04, 100
37.59, 48
39.31, 29

# 5
Computed powder diffraction line list
Compound: CsDyMnCl6
Radiation: Cu Kα, 1.54184 Å
Structure: DFT lattice parameters and positions (PBE)
Lines closer than 0.1° are merged.

Crystal structure
Cell lengths 6.8335, 6.8335, 7.7883 Å; angles 90.00, 90.00, 120.00 degrees
Fractional coordinates of all 9 atoms:
1 Cs 0.0000 0.0000 0.0000
2 Dy 0.3333 0.6667 0.5000
3 Mn 0.6667 0.3333 0.5000
4 Cl 0.3854 0.0105 0.3079
5 Cl 0.3854 0.3749 0.6921
6 Cl 0.6251 0.0105 0.6921
7 Cl 0.6251 0.6146 0.3079
8 Cl 0.9895 0.3749 0.3079
9 Cl 0.9895 0.6146 0.6921

Main lines, in order of rising 2θ (10° ≤ 2θ ≤ 90°):
Position (°2θ), I/Imax
11.36, 22
18.83, 100
26.08, 19
32.37, 19
34.94, 57
42.03, 25
46.01, 17
54.17, 22

# 6
Computed powder diffraction line list
Compound: RbBiHF6
Radiation: Cu Kα, 1.54184 Å
Structure: DFT lattice parameters and positions (PBE)
Lines closer than 0.1° are merged.

Crystal structure
Cell lengths 4.5508, 5.7544, 6.3200 Å; angles 91.71, 90.80, 109.00 degrees
Fractional coordinates of all 9 atoms:
1 Rb 0.0000 0.0000 0.0000
2 Bi 0.6319 0.3602 0.4975
3 H 0.2083 0.5516 0.2402
4 F 0.1134 0.3106 0.5522
5 F 0.4101 0.4886 0.2007
6 F 0.5399 0.0503 0.2830
7 F 0.5603 0.1656 0.7827
8 F 0.7311 0.6998 0.6644
9 F 0.9862 0.6034 0.2694

Main lines, in order of rising 2θ (10° ≤ 2θ ≤ 90°):
Position (°2θ), I/Imax
14.02, 65
16.30, 74
21.17, 79
21.77, 51
21.96, 100
24.75, 65
25.34, 44
25.98, 72

# 7
Computed powder diffraction line list
Compound: Pr3PaPt4
Radiation: Cu Kα, 1.54184 Å
Structure: DFT lattice parameters and positions (PBE)
Lines closer than 0.1° are merged.

Crystal structure
Cell lengths 7.2934, 8.4170, 7.2029 Å; angles 90.00, 109.57, 90.00 degrees
Fractional coordinates of all 16 atoms:
1 Pr 0.0000 0.1233 0.2500
2 Pr 0.0000 0.3729 0.7500
3 Pr 0.0000 0.6271 0.2500
4 Pr 0.0000 0.8767 0.7500
5 Pr 0.5000 0.1268 0.7500
6 Pr 0.5000 0.8732 0.2500
7 Pa 0.5000 0.3776 0.2500
8 Pa 0.5000 0.6224 0.7500
9 Pt 0.2615 0.1374 0.0149
10 Pt 0.2615 0.8626 0.5149
11 Pt 0.2690 0.3856 0.4964
12 Pt 0.2690 0.6143 0.9964
13 Pt 0.7310 0.3856 0.0036
14 Pt 0.7310 0.6143 0.5036
15 Pt 0.7385 0.1374 0.4851
16 Pt 0.7385 0.8626 0.9851

Main lines, in order of rising 2θ (10° ≤ 2θ ≤ 90°):
Position (°2θ), I/Imax
30.15, 100
42.97, 37
43.36, 37
53.39, 20
62.65, 8
70.85, 16
71.46, 11
79.08, 8